1.
This entry pairs a crystal structure of Eu2HPd4 with its calculated powder diffractogram. Radiation: Cu Kα. Structure: the GGA-PBE geometry in Alexandria.
Lines closer than 0.1° are merged.

Lattice parameters (Å, degrees): 4.244 4.244 14.539 90.00 90.00 90.00
Element x y z (fractional)
Eu 0.000 0.000 0.157
Eu 0.000 0.000 0.843
Eu 0.500 0.500 0.343
Eu 0.500 0.500 0.657
H 0.000 0.000 0.500
H 0.500 0.500 0.000
Pd 0.000 0.000 0.369
Pd 0.000 0.000 0.631
Pd 0.000 0.500 0.000
Pd 0.000 0.500 0.500
Pd 0.500 0.000 0.000
Pd 0.500 0.000 0.500
Pd 0.500 0.500 0.131
Pd 0.500 0.500 0.869

Principal peaks in the range 10° ≤ 2θ ≤ 80°, in order of rising 2θ:
| Position (°2θ) | I_rel |
| --- | --- |
| 27.95 | 10.1 |
| 29.77 | 23.6 |
| 32.27 | 50.3 |
| 37.10 | 21.3 |
| 38.92 | 100.0 |
| 42.61 | 51.5 |
| 57.75 | 23.2 |
| 61.83 | 16.8 |
| 71.48 | 9.9 |
| 72.20 | 12.7 |
| 74.36 | 10.9 |
| 75.52 | 28.0 |

---

2.
This entry pairs a crystal structure of EuHPd with its calculated powder diffractogram. Radiation: Cu Kα. Structure: the GGA-PBE geometry in Alexandria.
Lines closer than 0.1° are merged.

Lattice parameters (Å, degrees): 5.849 11.529 6.108 90.00 90.00 90.00
Element x y z (fractional)
Eu 0.105 0.141 0.076
Eu 0.105 0.359 0.576
Eu 0.395 0.641 0.076
Eu 0.395 0.859 0.576
Eu 0.605 0.141 0.424
Eu 0.605 0.359 0.924
Eu 0.895 0.641 0.424
Eu 0.895 0.859 0.924
H 0.188 0.688 0.714
H 0.188 0.812 0.214
H 0.312 0.188 0.714
H 0.312 0.312 0.214
H 0.688 0.688 0.786
H 0.688 0.812 0.286
H 0.812 0.188 0.786
H 0.812 0.312 0.286
Pd 0.121 0.085 0.597
Pd 0.121 0.415 0.097
Pd 0.379 0.585 0.597
Pd 0.379 0.915 0.097
Pd 0.621 0.085 0.903
Pd 0.621 0.415 0.403
Pd 0.879 0.585 0.903
Pd 0.879 0.915 0.403

Principal peaks in the range 10° ≤ 2θ ≤ 80°, in order of rising 2θ:
| Position (°2θ) | I_rel |
| --- | --- |
| 29.24 | 20.6 |
| 31.03 | 45.5 |
| 31.53 | 100.0 |
| 33.09 | 41.8 |
| 34.01 | 46.5 |
| 37.78 | 18.6 |
| 38.69 | 39.8 |
| 40.77 | 31.3 |
| 43.56 | 13.2 |
| 45.99 | 18.0 |
| 55.95 | 15.7 |
| 60.35 | 28.1 |

---

3.
This entry pairs a crystal structure of SmEu2H with its calculated powder diffractogram. Radiation: Cu Kα. Structure: the GGA-PBE geometry in Alexandria.
Lines closer than 0.1° are merged.

Lattice parameters (Å, degrees): 3.718 3.718 27.778 90.00 90.00 120.00
Element x y z (fractional)
Sm 0.000 0.000 0.000
Sm 0.333 0.667 0.667
Sm 0.667 0.333 0.333
Eu 0.000 0.000 0.221
Eu 0.000 0.000 0.779
Eu 0.333 0.667 0.446
Eu 0.333 0.667 0.887
Eu 0.667 0.333 0.113
Eu 0.667 0.333 0.554
H 0.000 0.000 0.500
H 0.333 0.667 0.167
H 0.667 0.333 0.833

Principal peaks in the range 10° ≤ 2θ ≤ 80°, in order of rising 2θ:
| Position (°2θ) | I_rel |
| --- | --- |
| 27.89 | 37.1 |
| 28.45 | 15.1 |
| 28.93 | 55.3 |
| 30.60 | 100.0 |
| 32.13 | 95.0 |
| 43.00 | 15.2 |
| 49.00 | 39.5 |
| 51.31 | 20.9 |
| 54.31 | 23.4 |
| 57.90 | 47.3 |
| 58.88 | 15.5 |
| 59.80 | 16.1 |

---

4.
This entry pairs a crystal structure of EuHoHf with its calculated powder diffractogram. Radiation: Cu Kα. Structure: the GGA-PBE geometry in Alexandria.
Lines closer than 0.1° are merged.

Lattice parameters (Å, degrees): 3.394 3.394 15.343 90.00 90.00 90.00
Element x y z (fractional)
Eu 0.000 0.000 0.000
Eu 0.500 0.500 0.500
Ho 0.000 0.000 0.307
Ho 0.500 0.500 0.807
Hf 0.000 0.000 0.667
Hf 0.500 0.500 0.167

Principal peaks in the range 10° ≤ 2θ ≤ 80°, in order of rising 2θ:
| Position (°2θ) | I_rel |
| --- | --- |
| 11.54 | 6.3 |
| 31.64 | 100.0 |
| 35.09 | 16.0 |
| 37.47 | 33.6 |
| 39.59 | 5.4 |
| 49.50 | 3.3 |
| 52.28 | 20.7 |
| 54.03 | 11.7 |
| 60.80 | 9.7 |
| 63.98 | 26.8 |
| 66.08 | 10.3 |
| 79.94 | 3.8 |

---

5.
This entry pairs a crystal structure of EuHfIr4 with its calculated powder diffractogram. Radiation: Cu Kα. Structure: the GGA-PBE geometry in Alexandria.
Lines closer than 0.1° are merged.

Lattice parameters (Å, degrees): 5.319 5.319 5.319 60.00 60.00 60.00
Element x y z (fractional)
Eu 0.000 0.000 0.000
Hf 0.750 0.750 0.750
Ir 0.375 0.375 0.375
Ir 0.375 0.375 0.875
Ir 0.375 0.875 0.375
Ir 0.875 0.375 0.375

Principal peaks in the range 10° ≤ 2θ ≤ 80°, in order of rising 2θ:
| Position (°2θ) | I_rel |
| --- | --- |
| 20.45 | 10.3 |
| 33.70 | 22.7 |
| 39.75 | 100.0 |
| 41.59 | 45.1 |
| 48.41 | 7.1 |
| 53.07 | 2.6 |
| 60.28 | 8.6 |
| 64.36 | 32.7 |
| 70.87 | 29.2 |
| 74.65 | 1.9 |

---

6.
This entry pairs a crystal structure of NaEuHfNbO6 with its calculated powder diffractogram. Radiation: Cu Kα. Structure: the GGA-PBE geometry in Alexandria.
Lines closer than 0.1° are merged.

Lattice parameters (Å, degrees): 5.762 5.762 5.762 60.00 60.00 60.00
Element x y z (fractional)
Na 0.000 0.000 0.000
Eu 0.500 0.500 0.500
Hf 0.250 0.250 0.250
Nb 0.750 0.750 0.750
O 0.503 0.503 0.997
O 0.503 0.997 0.503
O 0.503 0.997 0.997
O 0.997 0.503 0.503
O 0.997 0.503 0.997
O 0.997 0.997 0.503

Principal peaks in the range 10° ≤ 2θ ≤ 80°, in order of rising 2θ:
| Position (°2θ) | I_rel |
| --- | --- |
| 18.86 | 28.3 |
| 21.81 | 12.3 |
| 31.04 | 100.0 |
| 36.58 | 17.3 |
| 44.47 | 31.6 |
| 48.71 | 7.9 |
| 50.06 | 4.7 |
| 55.23 | 40.2 |
| 58.89 | 5.9 |
| 64.71 | 19.3 |
| 68.07 | 5.8 |
| 73.51 | 17.4 |

---

7.
This entry pairs a crystal structure of NdEuHf4O12 with its calculated powder diffractogram. Radiation: Cu Kα. Structure: the GGA-PBE geometry in Alexandria.
Lines closer than 0.1° are merged.

Lattice parameters (Å, degrees): 8.201 5.701 5.701 89.81 90.00 90.00
Element x y z (fractional)
Nd 0.000 0.000 0.000
Eu 0.500 0.555 0.555
Hf 0.251 0.051 0.525
Hf 0.251 0.525 0.051
Hf 0.749 0.051 0.525
Hf 0.749 0.525 0.051
O 0.000 0.042 0.599
O 0.000 0.599 0.042
O 0.195 0.218 0.218
O 0.265 0.825 0.825
O 0.276 0.347 0.737
O 0.276 0.737 0.347
O 0.500 0.099 0.502
O 0.500 0.502 0.099
O 0.724 0.347 0.737
O 0.724 0.737 0.347
O 0.735 0.825 0.825
O 0.805 0.218 0.218

Principal peaks in the range 10° ≤ 2θ ≤ 80°, in order of rising 2θ:
| Position (°2θ) | I_rel |
| --- | --- |
| 18.96 | 37.6 |
| 21.67 | 16.1 |
| 22.05 | 30.4 |
| 31.11 | 100.0 |
| 31.38 | 50.3 |
| 36.93 | 10.8 |
| 44.18 | 15.2 |
| 44.90 | 12.2 |
| 45.05 | 12.5 |
| 55.19 | 22.2 |
| 55.70 | 40.5 |
| 73.11 | 9.3 |

---

8.
This entry pairs a crystal structure of NdEuHf2O6 with its calculated powder diffractogram. Radiation: Cu Kα. Structure: the GGA-PBE geometry in Alexandria.
Lines closer than 0.1° are merged.

Lattice parameters (Å, degrees): 5.685 5.685 4.216 90.00 90.00 90.81
Element x y z (fractional)
Nd 0.000 0.000 0.000
Eu 0.500 0.500 0.000
Hf 0.000 0.500 0.500
Hf 0.500 0.000 0.500
O 0.000 0.500 0.000
O 0.178 0.178 0.500
O 0.318 0.682 0.500
O 0.500 0.000 0.000
O 0.682 0.318 0.500
O 0.822 0.822 0.500

Principal peaks in the range 10° ≤ 2θ ≤ 80°, in order of rising 2θ:
| Position (°2θ) | I_rel |
| --- | --- |
| 30.62 | 95.2 |
| 30.85 | 93.0 |
| 31.47 | 100.0 |
| 42.90 | 29.0 |
| 44.77 | 23.2 |
| 45.45 | 22.0 |
| 54.17 | 43.8 |
| 55.36 | 41.1 |
| 55.79 | 40.7 |
| 63.74 | 15.8 |
| 64.27 | 15.3 |
| 65.70 | 13.2 |

---

9.
This entry pairs a crystal structure of Eu2Hf2O7 with its calculated powder diffractogram. Radiation: Cu Kα. Structure: the GGA-PBE geometry in Alexandria.
Lines closer than 0.1° are merged.

Lattice parameters (Å, degrees): 7.545 7.545 7.545 60.00 60.00 60.00
Element x y z (fractional)
Eu 0.000 0.000 0.000
Eu 0.000 0.000 0.500
Eu 0.000 0.500 0.000
Eu 0.500 0.000 0.000
Hf 0.000 0.500 0.500
Hf 0.500 0.000 0.500
Hf 0.500 0.500 0.000
Hf 0.500 0.500 0.500
O 0.125 0.125 0.125
O 0.168 0.168 0.582
O 0.168 0.582 0.168
O 0.168 0.582 0.582
O 0.418 0.418 0.832
O 0.418 0.832 0.418
O 0.418 0.832 0.832
O 0.582 0.168 0.168
O 0.582 0.168 0.582
O 0.582 0.582 0.168
O 0.832 0.418 0.418
O 0.832 0.418 0.832
O 0.832 0.832 0.418
O 0.875 0.875 0.875

Principal peaks in the range 10° ≤ 2θ ≤ 80°, in order of rising 2θ:
| Position (°2θ) | I_rel |
| --- | --- |
| 14.38 | 1.2 |
| 27.73 | 1.3 |
| 28.99 | 100.0 |
| 33.60 | 36.6 |
| 48.25 | 45.8 |
| 57.27 | 44.7 |
| 60.08 | 11.0 |
| 70.62 | 6.9 |
| 78.08 | 18.3 |

---

10.
This entry pairs a crystal structure of EuMgSnHg with its calculated powder diffractogram. Radiation: Cu Kα. Structure: the GGA-PBE geometry in Alexandria.
Lines closer than 0.1° are merged.

Lattice parameters (Å, degrees): 7.482 7.482 7.482 90.00 90.00 90.00
Element x y z (fractional)
Eu 0.000 0.000 0.000
Eu 0.000 0.500 0.500
Eu 0.500 0.000 0.500
Eu 0.500 0.500 0.000
Mg 0.000 0.000 0.500
Mg 0.000 0.500 0.000
Mg 0.500 0.000 0.000
Mg 0.500 0.500 0.500
Sn 0.250 0.250 0.250
Sn 0.250 0.750 0.750
Sn 0.750 0.250 0.750
Sn 0.750 0.750 0.250
Hg 0.250 0.250 0.750
Hg 0.250 0.750 0.250
Hg 0.750 0.250 0.250
Hg 0.750 0.750 0.750

Principal peaks in the range 10° ≤ 2θ ≤ 80°, in order of rising 2θ:
| Position (°2θ) | I_rel |
| --- | --- |
| 20.56 | 20.0 |
| 23.78 | 9.7 |
| 33.89 | 100.0 |
| 39.96 | 11.4 |
| 41.82 | 3.2 |
| 48.68 | 18.2 |
| 53.37 | 4.9 |
| 54.87 | 4.5 |
| 60.63 | 38.0 |
| 64.74 | 3.7 |
| 71.30 | 11.9 |
| 75.11 | 3.6 |

---

11.
This entry pairs a crystal structure of NdSmEuHg with its calculated powder diffractogram. Radiation: Cu Kα. Structure: the GGA-PBE geometry in Alexandria.
Lines closer than 0.1° are merged.

Lattice parameters (Å, degrees): 7.870 7.870 7.870 90.00 90.00 90.00
Element x y z (fractional)
Nd 0.000 0.000 0.000
Nd 0.000 0.500 0.500
Nd 0.500 0.000 0.500
Nd 0.500 0.500 0.000
Sm 0.000 0.000 0.500
Sm 0.000 0.500 0.000
Sm 0.500 0.000 0.000
Sm 0.500 0.500 0.500
Eu 0.250 0.250 0.750
Eu 0.250 0.750 0.250
Eu 0.750 0.250 0.250
Eu 0.750 0.750 0.750
Hg 0.250 0.250 0.250
Hg 0.250 0.750 0.750
Hg 0.750 0.250 0.750
Hg 0.750 0.750 0.250

Principal peaks in the range 10° ≤ 2θ ≤ 80°, in order of rising 2θ:
| Position (°2θ) | I_rel |
| --- | --- |
| 19.54 | 1.2 |
| 22.59 | 0.9 |
| 32.17 | 100.0 |
| 37.92 | 0.7 |
| 46.13 | 18.5 |
| 57.35 | 38.8 |
| 67.30 | 12.0 |
| 76.56 | 16.8 |

---

Please write out number 3 again, unchanged.
This entry pairs a crystal structure of SmEu2H with its calculated powder diffractogram. Radiation: Cu Kα. Structure: the GGA-PBE geometry in Alexandria.
Lines closer than 0.1° are merged.

Lattice parameters (Å, degrees): 3.718 3.718 27.778 90.00 90.00 120.00
Element x y z (fractional)
Sm 0.000 0.000 0.000
Sm 0.333 0.667 0.667
Sm 0.667 0.333 0.333
Eu 0.000 0.000 0.221
Eu 0.000 0.000 0.779
Eu 0.333 0.667 0.446
Eu 0.333 0.667 0.887
Eu 0.667 0.333 0.113
Eu 0.667 0.333 0.554
H 0.000 0.000 0.500
H 0.333 0.667 0.167
H 0.667 0.333 0.833

Principal peaks in the range 10° ≤ 2θ ≤ 80°, in order of rising 2θ:
| Position (°2θ) | I_rel |
| --- | --- |
| 27.89 | 37.1 |
| 28.45 | 15.1 |
| 28.93 | 55.3 |
| 30.60 | 100.0 |
| 32.13 | 95.0 |
| 43.00 | 15.2 |
| 49.00 | 39.5 |
| 51.31 | 20.9 |
| 54.31 | 23.4 |
| 57.90 | 47.3 |
| 58.88 | 15.5 |
| 59.80 | 16.1 |